This entry pairs a crystal structure of KMn2P2HO9 with its calculated PXRD pattern. Radiation: a wavelength of 1.5418 Å. Structure: DFT lattice parameters and positions (GGA+U).
Kinematic intensities with the Lorentz-polarization factor, no thermal factor.

Structure:
```
data_KMn2P2HO9
_chemical_formula_sum 'K2 Mn4 P4 H2 O18'
_cell_length_a 6.3364
_cell_length_b 7.0164
_cell_length_c 8.9659
_cell_angle_alpha 90.00
_cell_angle_beta 107.64
_cell_angle_gamma 90.00
_symmetry_space_group_name_H-M 'P 1 21/m 1'
_symmetry_Int_Tables_number 11
loop_
_symmetry_equiv_pos_as_xyz
'x,y,z'
'-x,-y,-z'
'-x,y+1/2,-z'
'x,-y+1/2,z'
loop_
_atom_site_label
_atom_site_fract_x
_atom_site_fract_y
_atom_site_fract_z
K1 0.0511 0.2500 0.1732
Mn1 0.4620 0.7500 0.2882
Mn2 0.5000 0.0000 0.0000
P1 0.1113 0.2500 0.8084
P2 0.4339 0.7500 0.6554
H1 0.0849 0.7500 0.4937
O1 0.1413 0.7500 0.2654
O2 0.1697 0.7500 0.6060
O3 0.1839 0.0694 0.9132
O4 0.2123 0.2500 0.6706
O5 0.4154 0.7500 0.0625
O6 0.4786 0.2500 0.4864
O7 0.4828 0.0718 0.2428
```

Peak list (10 most intense, 10 to 80 degrees two-theta, by intensity)
- (1 0 0), 14.7 deg, intensity 100
- (0 0 1), 10.4 deg, intensity 71
- (1 0 -3), 30.4 deg, intensity 68
- (0 2 2), 33.0 deg, intensity 54
- (0 2 0), 25.4 deg, intensity 54
- (2 0 0), 29.6 deg, intensity 48
- (0 2 1), 27.5 deg, intensity 42
- (1 2 -1), 29.7 deg, intensity 28
- (3 2 -1), 50.5 deg, intensity 28
- (1 2 1), 32.8 deg, intensity 25